CsK4Cd4: computed powder X-ray diffraction pattern (Cu Ka), based on the PBE geometry in Alexandria.
Kinematic intensities with the Lorentz-polarization factor, no thermal factor.

Crystal structure
a b c (Å): 11.645 11.645 7.150
angles (deg): 90.00 90.00 90.00
Fractional positions:
Cs: 0.250 0.250 0.250
Cs: 0.750 0.750 0.750
K: 0.092 0.648 0.122
K: 0.148 0.908 0.622
K: 0.352 0.592 0.622
K: 0.408 0.852 0.122
K: 0.592 0.148 0.878
K: 0.648 0.408 0.378
K: 0.852 0.092 0.378
K: 0.908 0.352 0.878
Cd: 0.041 0.594 0.620
Cd: 0.094 0.959 0.120
Cd: 0.406 0.541 0.120
Cd: 0.459 0.906 0.620
Cd: 0.541 0.094 0.380
Cd: 0.594 0.459 0.880
Cd: 0.906 0.041 0.880
Cd: 0.959 0.406 0.380

Peak list (10 most intense, 2θ = 10–90°, by angle)
| hkl | 2theta | Rel. int. |
| --- | --- | --- |
| 1 0 1 | 14.54 | 46 |
| 2 0 0 | 15.22 | 22 |
| 1 1 1 | 16.42 | 57 |
| 1 2 1 | 21.10 | 37 |
| 2 2 0 | 21.58 | 24 |
| 1 3 0 | 24.17 | 100 |
| 1 0 2 | 26.07 | 41 |
| 2 3 1 | 30.35 | 60 |
| 3 0 2 | 34.11 | 94 |
| 3 2 2 | 37.53 | 38 |